This entry pairs a crystal structure of Pa3TlCr4N12 with its theoretical powder XRD pattern. Radiation: Cu Kα (λ = 1.5418 Å). Structure: a cell relaxed with GGA-PBE.
No peak broadening, texture or thermal motion is included.

Largest 12 diffraction maxima, in order of rising 2θ, 2θ from 10° to 80°:
- 15.6 deg, I 18, hkl 1 1 0
- 20.6 deg, I 59, hkl 0 2 1
- 26.0 deg, I 23, hkl 2 1 1
- 27.0 deg, I 100, hkl 2 0 2
- 31.6 deg, I 35, hkl 2 2 0
- 34.4 deg, I 27, hkl 1 3 1
- 38.7 deg, I 17, hkl 3 1 2
- 42.0 deg, I 13, hkl 0 4 2
- 44.1 deg, I 14, hkl 2 2 3
- 44.6 deg, I 24, hkl 0 2 4
- 52.6 deg, I 15, hkl 4 1 3
- 52.9 deg, I 13, hkl 5 1 1

Crystal structure
```
data_Pa3TlCr4N12
_chemical_formula_sum 'Pa9 Tl3 Cr12 N36'
_cell_length_a 11.3389
_cell_length_b 11.3389
_cell_length_c 8.9272
_cell_angle_alpha 90.00
_cell_angle_beta 90.00
_cell_angle_gamma 120.00
_space_group_name_H-M_alt 'R 3 2'
_space_group_IT_number 155
_space_group_name_Hall 'R 3 2"'
loop_
_atom_site_label
_atom_site_type_symbol
_atom_site_fract_x
_atom_site_fract_y
_atom_site_fract_z
_atom_site_occupancy
Pa1 Pa 0.0000 0.5521 0.0000 1
Tl1 Tl 0.0000 0.0000 0.0000 1
Cr1 Cr 0.0000 0.0000 0.5000 1
Cr2 Cr 0.0000 0.4496 0.5000 1
N1 N 0.0000 0.6062 0.5000 1
N2 N 0.0000 0.8481 0.5000 1
N3 N 0.0330 0.2202 0.1957 1
```